# Cr3InO8
Computed X-ray diffraction stick pattern, Cu Kα. Input: a cell relaxed with GGA+U.

Structure:
```
data_Cr3InO8
_symmetry_space_group_name_H-M 'C 1 2/m 1'
_symmetry_Int_Tables_number 12
_symmetry_space_group_name_Hall '-C 2y'
_cell_length_a 8.5999
_cell_length_b 5.6521
_cell_length_c 6.5341
_cell_angle_alpha 90.00
_cell_angle_beta 90.62
_cell_angle_gamma 90.00
loop_
_atom_site_label
_atom_site_fract_x
_atom_site_fract_y
_atom_site_fract_z
Cr1 0.0000 0.0000 0.0000
Cr2 0.1432 0.5000 0.2348
In1 0.0000 0.0000 0.5000
O1 0.0274 0.2387 0.2319
O2 0.2267 0.0000 0.9547
O3 0.2478 0.0000 0.5489
```

Main lines, in order of rising 2θ (10° ≤ 2θ ≤ 90°):
two_theta	I (rel.)	h k l
18.79	75	1 1 0
20.66	48	2 0 0
23.17	100	1 1 -1
24.91	49	2 0 1
31.66	62	0 2 0
33.25	69	1 1 -2
33.44	86	1 1 2
35.10	79	3 1 0
60.90	31	4 2 -2
61.38	27	4 2 2